1.
Structure and calculated XRD peak list of Pu2FeRh3 (DFT lattice parameters and positions (GGA-PBE); Cu Kα X-rays).
Intensities are scaled so that the largest is 100.

Peak list (10 most intense, 15° ≤ 2θ ≤ 90°, most intense first)
two_theta	I (rel.)
39.8	100
38.4	83
35.5	77
32.5	66
42.4	48
59.9	36
20.0	32
68.0	32
40.7	30
64.8	27

Cell: 5.092 5.092 5.092 Å, 65.61 65.61 65.61°
Sites, in units of the cell vectors:
1 Pu 0.123 0.123 0.123
2 Pu 0.877 0.877 0.877
3 Fe 0.500 0.500 0.500
4 Rh 0.000 0.500 0.500
5 Rh 0.500 0.000 0.500
6 Rh 0.500 0.500 0.000



2.
Structure and calculated XRD peak list of Pu8FeRu5 (DFT lattice parameters and positions (GGA-PBE); Cu Kα X-rays).
Intensities are scaled so that the largest is 100.

Peak list (10 most intense, 15° ≤ 2θ ≤ 90°, most intense first)
two_theta	I (rel.)
34.9	100
40.2	99
33.2	91
34.7	74
41.0	54
26.7	52
41.4	47
54.9	35
57.8	33
31.1	27

Cell: 7.167 7.167 7.167 Å, 110.95 110.95 106.56°
Sites, in units of the cell vectors:
1 Pu 0.119 0.380 0.635
2 Pu 0.131 0.410 0.102
3 Pu 0.308 0.029 0.898
4 Pu 0.516 0.881 0.261
5 Pu 0.590 0.692 0.722
6 Pu 0.620 0.255 0.739
7 Pu 0.745 0.484 0.365
8 Pu 0.971 0.869 0.278
9 Fe 0.500 0.500 0.000
10 Ru 0.000 0.699 0.892
11 Ru 0.250 0.750 0.500
12 Ru 0.301 0.193 0.301
13 Ru 0.807 0.108 0.108
14 Ru 0.892 0.000 0.699



3.
Structure and calculated XRD peak list of Pu6FeRu3 (DFT lattice parameters and positions (GGA-PBE); Cu Kα X-rays).
Intensities are scaled so that the largest is 100.

Peak list (10 most intense, 15° ≤ 2θ ≤ 90°, most intense first)
two_theta	I (rel.)
35.3	100
28.8	92
40.3	65
49.4	49
59.0	31
28.4	27
62.2	23
31.4	18
58.0	17
45.7	15

Cell: 6.387 6.387 12.564 Å, 90.00 90.00 120.00°
Sites, in units of the cell vectors:
1 Pu 0.037 0.344 0.361
2 Pu 0.037 0.693 0.139
3 Pu 0.307 0.344 0.139
4 Pu 0.307 0.963 0.361
5 Pu 0.344 0.037 0.639
6 Pu 0.344 0.307 0.861
7 Pu 0.656 0.693 0.361
8 Pu 0.656 0.963 0.139
9 Pu 0.693 0.037 0.861
10 Pu 0.693 0.656 0.639
11 Pu 0.963 0.307 0.639
12 Pu 0.963 0.656 0.861
13 Fe 0.333 0.667 0.750
14 Fe 0.667 0.333 0.250
15 Ru 0.000 0.000 0.000
16 Ru 0.000 0.000 0.500
17 Ru 0.333 0.667 0.521
18 Ru 0.333 0.667 0.979
19 Ru 0.667 0.333 0.021
20 Ru 0.667 0.333 0.479



4.
Structure and calculated XRD peak list of Pu8Fe5Ru (DFT lattice parameters and positions (GGA-PBE); Cu Kα X-rays).
Intensities are scaled so that the largest is 100.

Peak list (10 most intense, 15° ≤ 2θ ≤ 90°, most intense first)
two_theta	I (rel.)
34.5	100
41.1	88
26.6	46
34.6	46
30.8	44
57.2	44
57.1	23
54.8	20
70.8	20
74.9	16

Cell: 7.114 7.114 7.114 Å, 109.56 109.56 109.28°
Sites, in units of the cell vectors:
1 Pu 0.125 0.247 0.747
2 Pu 0.127 0.742 0.745
3 Pu 0.258 0.003 0.385
4 Pu 0.500 0.378 0.253
5 Pu 0.618 0.873 0.615
6 Pu 0.622 0.875 0.122
7 Pu 0.753 0.500 0.878
8 Pu 0.997 0.382 0.255
9 Fe 0.247 0.619 0.121
10 Fe 0.381 0.503 0.628
11 Fe 0.497 0.125 0.879
12 Fe 0.750 0.250 0.500
13 Fe 0.875 0.753 0.372
14 Ru 0.000 0.000 0.000